Entry 1:
# LiCuF2
Simulated X-ray powder pattern, Cu Kα (weighted mean of Kα1 and Kα2). Input: a PBE-relaxed structure.
Lines closer than 0.1° are merged.

a b c (Å): 2.9538 2.9538 17.6076
angles (deg): 90.00 90.00 120.00
Fractional positions:
Li: 0.0000 0.0000 0.0000
Li: 0.3333 0.6667 0.6667
Li: 0.6667 0.3333 0.3333
Cu: 0.0000 0.0000 0.5000
Cu: 0.3333 0.6667 0.1667
Cu: 0.6667 0.3333 0.8333
F: 0.0000 0.0000 0.3950
F: 0.0000 0.0000 0.6050
F: 0.3333 0.6667 0.0617
F: 0.3333 0.6667 0.2716
F: 0.6667 0.3333 0.7284
F: 0.6667 0.3333 0.9383

Most intense lines, 5° ≤ 2θ ≤ 70°, sorted by position:
| 2θ/deg | Rel. int. | index |
| --- | --- | --- |
| 15.10 | 64 | 0 0 3 |
| 35.46 | 100 | 1 0 1 |
| 36.58 | 71 | 0 1 2 |
| 46.41 | 16 | 0 0 9 |
| 50.91 | 14 | 1 0 7 |
| 55.04 | 25 | 0 1 8 |
| 62.93 | 22 | 1 1 0 |
| 64.22 | 20 | 1 0 10 |

Entry 2:
# LiCu2F7
Simulated X-ray powder pattern, Cu Kα (weighted mean of Kα1 and Kα2). Input: a PBE-relaxed structure.
Lines closer than 0.1° are merged.

a b c (Å): 5.7436 12.3895 6.8572
angles (deg): 90.00 95.77 90.00
Fractional positions:
Li: 0.1053 0.1276 0.2427
Li: 0.1053 0.3724 0.7427
Li: 0.8947 0.6276 0.2573
Li: 0.8947 0.8724 0.7573
Cu: 0.3455 0.0395 0.8270
Cu: 0.3455 0.4605 0.3270
Cu: 0.3558 0.6675 0.9441
Cu: 0.3558 0.8325 0.4441
Cu: 0.6442 0.1675 0.5559
Cu: 0.6442 0.3325 0.0559
Cu: 0.6545 0.5395 0.6730
Cu: 0.6545 0.9605 0.1730
F: 0.0591 0.7109 0.8962
F: 0.0591 0.7891 0.3962
F: 0.1124 0.0976 0.9610
F: 0.1124 0.4024 0.4610
F: 0.1455 0.5462 0.1598
F: 0.1455 0.9538 0.6598
F: 0.3315 0.1456 0.5388
F: 0.3315 0.3544 0.0388
F: 0.3506 0.5389 0.7955
F: 0.3506 0.9611 0.2955
F: 0.4030 0.7489 0.1623
F: 0.4030 0.7511 0.6623
F: 0.4417 0.5938 0.4505
F: 0.4417 0.9062 0.9505
F: 0.5583 0.0938 0.0495
F: 0.5583 0.4062 0.5495
F: 0.5970 0.2489 0.3377
F: 0.5970 0.2511 0.8377
F: 0.6494 0.0389 0.7045
F: 0.6494 0.4611 0.2045
F: 0.6685 0.6456 0.9612
F: 0.6685 0.8544 0.4612
F: 0.8545 0.0462 0.3402
F: 0.8545 0.4538 0.8402
F: 0.8876 0.5976 0.5390
F: 0.8876 0.9024 0.0390
F: 0.9409 0.2109 0.6038
F: 0.9409 0.2891 0.1038

Most intense lines, 5° ≤ 2θ ≤ 70°, sorted by position:
| 2θ/deg | Rel. int. | index |
| --- | --- | --- |
| 15.51 | 100 | 1 0 0 |
| 17.09 | 34 | 1 1 0 |
| 19.35 | 44 | 0 2 1 |
| 25.21 | 78 | 0 3 1 |
| 25.72 | 60 | 1 2 1 |
| 29.03 | 86 | 1 3 -1 |
| 29.90 | 27 | 0 2 2 |
| 41.75 | 31 | 2 2 -2 |